[1]
Calculated powder diffractogram
Compound: Pr4PRhS2
Radiation: λ = 1.5418 Å (Cu Kα)
Structure: a cell relaxed with GGA-PBE
Kinematic intensities with the Lorentz-polarization factor, no thermal factor.

Structural model:
Cell: 7.2602 4.1201 7.2618 Å, 90.00 108.68 90.00°
Positions (direct):
1 Pr 0.2471 0.0000 0.2428
2 Pr 0.2502 0.5000 0.7587
3 Pr 0.7498 0.5000 0.2413
4 Pr 0.7529 0.0000 0.7572
5 P 0.5000 0.0000 0.0000
6 Rh 0.0000 0.5000 0.0000
7 S 0.0000 0.0000 0.5000
8 S 0.5000 0.5000 0.5000

Top 6 peaks for 10 to 90 degrees two-theta, most intense first:
2θ 30.3, rel. 100.0, (1 1 1)
2θ 43.4, rel. 48.8, (3 1 -1)
2θ 71.5, rel. 21.5, (4 2 0)
2θ 25.9, rel. 21.3, (2 0 0)
2θ 26.4, rel. 20.5, (1 1 -1)
2θ 53.3, rel. 13.1, (4 0 0)

[2]
Calculated powder diffractogram
Compound: Pr2SbPRh6
Radiation: λ = 1.5418 Å (Cu Kα)
Structure: a cell relaxed with GGA-PBE
Kinematic intensities with the Lorentz-polarization factor, no thermal factor.

Structural model:
Cell: 5.8409 8.7742 7.6969 Å, 90.00 90.00 90.00°
Positions (direct):
1 Pr 0.2500 0.0211 0.2255
2 Pr 0.2500 0.4789 0.2255
3 Pr 0.7500 0.5211 0.7745
4 Pr 0.7500 0.9789 0.7745
5 Sb 0.2500 0.7500 0.7942
6 Sb 0.7500 0.2500 0.2058
7 P 0.2500 0.2500 0.7166
8 P 0.7500 0.7500 0.2834
9 Rh 0.0098 0.7500 0.0738
10 Rh 0.0177 0.7500 0.4923
11 Rh 0.2500 0.0023 0.6145
12 Rh 0.2500 0.4977 0.6145
13 Rh 0.4823 0.7500 0.4923
14 Rh 0.4902 0.7500 0.0738
15 Rh 0.5098 0.2500 0.9262
16 Rh 0.5177 0.2500 0.5077
17 Rh 0.7500 0.5023 0.3855
18 Rh 0.7500 0.9977 0.3855
19 Rh 0.9823 0.2500 0.5077
20 Rh 0.9902 0.2500 0.9262

Top 6 peaks for 10 to 90 degrees two-theta, most intense first:
2θ 37.0, rel. 100.0, (2 2 0)
2θ 38.7, rel. 79.7, (2 0 2)
2θ 41.2, rel. 69.7, (0 4 0)
2θ 43.7, rel. 65.2, (1 2 3)
2θ 30.9, rel. 55.8, (0 2 2)
2θ 28.0, rel. 54.8, (1 2 1)